Entry 1:
Structure and simulated powder diffraction line list of Dy3AsSe2 (a cell relaxed with GGA-PBE; Cu Ka).

Structural model:
```
data_Dy3AsSe2
_cell_length_a 4.0816
_cell_length_b 5.7693
_cell_length_c 12.3452
_cell_angle_alpha 90.00
_cell_angle_beta 90.00
_cell_angle_gamma 90.00
_symmetry_space_group_name_H-M 'I m m m'
_symmetry_Int_Tables_number 71
_symmetry_space_group_name_Hall '-I 2 2'
loop_
_atom_site_label
_atom_site_type_symbol
_atom_site_fract_x
_atom_site_fract_y
_atom_site_fract_z
Dy1 Dy 0.0000 0.0000 0.0000
Dy2 Dy 0.0000 0.0000 0.3407
As1 As 0.0000 0.5000 0.0000
Se1 Se 0.0000 0.5000 0.3315
```

Largest 8 diffraction maxima, in order of rising 2θ, 10° ≤ 2θ ≤ 80°:
Position (°2θ)  d_spacing  I (rel.)
26.76  3.332  164
30.86  2.898  1000
31.00  2.885  498
44.01  2.058  183
44.32  2.044  924
54.80  1.675  192
55.13  1.666  195
73.31  1.291  248

Entry 2:
Structure and simulated powder diffraction line list of Pu4GaRu (a cell relaxed with GGA-PBE; Cu Ka).

Structural model:
```
data_Pu4GaRu
_cell_length_a 5.2386
_cell_length_b 9.6186
_cell_length_c 5.2024
_cell_angle_alpha 90.00
_cell_angle_beta 90.56
_cell_angle_gamma 90.00
_symmetry_space_group_name_H-M 'C 1 2/m 1'
_symmetry_Int_Tables_number 12
_symmetry_space_group_name_Hall '-C 2y'
loop_
_atom_site_label
_atom_site_type_symbol
_atom_site_fract_x
_atom_site_fract_y
_atom_site_fract_z
Pu1 Pu 0.0000 0.1545 0.0000
Pu2 Pu 0.0000 0.3433 0.5000
Ga1 Ga 0.0000 0.5000 0.0000
Ru1 Ru 0.0000 0.0000 0.5000
```

Largest 8 diffraction maxima, in order of rising 2θ, 10° ≤ 2θ ≤ 80°:
Position (°2θ)  d_spacing  I (rel.)
25.74  3.461  249
25.97  3.432  244
34.24  2.619  641
34.48  2.601  629
37.06  2.426  1000
37.22  2.415  988
63.37  1.468  476
63.70  1.461  257

Entry 3:
Structure and simulated powder diffraction line list of LiAu5 (a cell relaxed with GGA-PBE; Cu Ka).

Structural model:
```
data_LiAu5
_cell_length_a 4.7733
_cell_length_b 2.9067
_cell_length_c 15.0994
_cell_angle_alpha 90.00
_cell_angle_beta 90.00
_cell_angle_gamma 90.00
_symmetry_space_group_name_H-M 'A m m 2'
_symmetry_Int_Tables_number 38
_symmetry_space_group_name_Hall 'A 2 -2'
loop_
_atom_site_label
_atom_site_type_symbol
_atom_site_fract_x
_atom_site_fract_y
_atom_site_fract_z
Li1 Li 0.0000 0.0000 0.0000
Au1 Au 0.0000 0.0000 0.3394
Au2 Au 0.0000 0.0000 0.6610
Au3 Au 0.5000 0.0000 0.2206
Au4 Au 0.5000 0.0000 0.5528
Au5 Au 0.5000 0.0000 0.8904
```

Largest 8 diffraction maxima, in order of rising 2θ, 10° ≤ 2θ ≤ 80°:
Position (°2θ)  d_spacing  I (rel.)
35.67  2.517  260
37.69  2.387  270
40.52  2.226  1000
52.86  1.732  191
64.08  1.453  169
69.95  1.345  205
76.80  1.241  205
78.62  1.217  146

Entry 4:
Structure and simulated powder diffraction line list of VSb3Se8 (a cell relaxed with GGA-PBE; Cu Ka).

Structural model:
```
data_VSb3Se8
_cell_length_a 13.3161
_cell_length_b 7.6895
_cell_length_c 8.2162
_cell_angle_alpha 90.00
_cell_angle_beta 122.84
_cell_angle_gamma 90.00
_symmetry_space_group_name_H-M 'C 1 2/m 1'
_symmetry_Int_Tables_number 12
_symmetry_space_group_name_Hall '-C 2y'
loop_
_atom_site_label
_atom_site_type_symbol
_atom_site_fract_x
_atom_site_fract_y
_atom_site_fract_z
V1 V 0.0000 0.0000 0.0000
Sb1 Sb 0.0000 0.5000 0.0000
Sb2 Sb 0.2500 0.2500 0.0000
Se1 Se 0.0034 0.2286 0.7819
Se2 Se 0.2256 0.0000 0.2179
Se3 Se 0.2490 0.5000 0.2454
```

Largest 8 diffraction maxima, in order of rising 2θ, 10° ≤ 2θ ≤ 80°:
Position (°2θ)  d_spacing  I (rel.)
12.82  6.903  762
27.13  3.287  215
31.96  2.800  1000
40.80  2.212  195
44.32  2.044  360
47.29  1.922  320
49.20  1.852  142
58.22  1.585  159

Entry 5:
Structure and simulated powder diffraction line list of TbErCdOs (a cell relaxed with GGA-PBE; Cu Ka).

Structural model:
```
data_TbErCdOs
_cell_length_a 3.4402
_cell_length_b 3.4402
_cell_length_c 7.7696
_cell_angle_alpha 90.00
_cell_angle_beta 90.00
_cell_angle_gamma 90.00
_symmetry_space_group_name_H-M 'P 4 m m'
_symmetry_Int_Tables_number 99
_symmetry_space_group_name_Hall 'P 4 -2'
loop_
_atom_site_label
_atom_site_type_symbol
_atom_site_fract_x
_atom_site_fract_y
_atom_site_fract_z
Tb1 Tb 0.0000 0.0000 0.0000
Er1 Er 0.0000 0.0000 0.5745
Cd1 Cd 0.5000 0.5000 0.2926
Os1 Os 0.5000 0.5000 0.7833
```

Largest 8 diffraction maxima, in order of rising 2θ, 10° ≤ 2θ ≤ 80°:
Position (°2θ)  d_spacing  I (rel.)
11.39  7.770  211
34.83  2.575  1000
36.95  2.433  479
43.75  2.069  123
53.25  1.720  167
61.05  1.518  136
65.22  1.430  322
73.55  1.288  79

Entry 6:
Structure and simulated powder diffraction line list of K2LiPtI6 (a cell relaxed with GGA-PBE; Cu Ka).

Structural model:
```
data_K2LiPtI6
_cell_length_a 7.9472
_cell_length_b 7.9472
_cell_length_c 41.9743
_cell_angle_alpha 90.00
_cell_angle_beta 90.00
_cell_angle_gamma 120.00
_symmetry_space_group_name_H-M 'R -3 m'
_symmetry_Int_Tables_number 166
_symmetry_space_group_name_Hall '-R 3 2"'
loop_
_atom_site_label
_atom_site_type_symbol
_atom_site_fract_x
_atom_site_fract_y
_atom_site_fract_z
K1 K 0.0000 0.0000 0.1156
K2 K 0.0000 0.0000 0.3046
Li1 Li 0.0000 0.0000 0.4229
Pt1 Pt 0.0000 0.0000 0.0000
Pt2 Pt 0.0000 0.0000 0.5000
I1 I 0.0029 0.5015 0.1289
I2 I 0.0059 0.5029 0.7053
```

Largest 8 diffraction maxima, in order of rising 2θ, 10° ≤ 2θ ≤ 80°:
Position (°2θ)  d_spacing  I (rel.)
12.65  6.996  387
13.54  6.540  991
15.40  5.755  494
28.02  3.184  1000
29.94  2.985  908
33.68  2.661  359
34.15  2.626  381
45.66  1.987  598

Entry 7:
Structure and simulated powder diffraction line list of Sc2Be2Co5Re (a cell relaxed with GGA-PBE; Cu Ka).

Structural model:
```
data_Sc2Be2Co5Re
_cell_length_a 8.7133
_cell_length_b 8.7133
_cell_length_c 3.1836
_cell_angle_alpha 90.00
_cell_angle_beta 90.00
_cell_angle_gamma 90.00
_symmetry_space_group_name_H-M 'P 4/m b m'
_symmetry_Int_Tables_number 127
_symmetry_space_group_name_Hall '-P 4 2ab'
loop_
_atom_site_label
_atom_site_type_symbol
_atom_site_fract_x
_atom_site_fract_y
_atom_site_fract_z
Sc1 Sc 0.1759 0.3241 0.0000
Be1 Be 0.1172 0.6172 0.0000
Co1 Co 0.0000 0.5000 0.5000
Co2 Co 0.0668 0.7903 0.5000
Re1 Re 0.0000 0.0000 0.0000
```

Largest 8 diffraction maxima, in order of rising 2θ, 10° ≤ 2θ ≤ 80°:
Position (°2θ)  d_spacing  I (rel.)
14.38  6.161  675
20.38  4.357  381
31.63  2.828  250
36.44  2.465  187
40.76  2.214  417
42.79  2.113  230
43.43  2.083  1000
46.62  1.948  315

Entry 8:
Structure and simulated powder diffraction line list of ZnAu2O (a cell relaxed with GGA-PBE; Cu Ka).

Structural model:
```
data_ZnAu2O
_cell_length_a 6.1462
_cell_length_b 6.1462
_cell_length_c 6.1462
_cell_angle_alpha 90.00
_cell_angle_beta 90.00
_cell_angle_gamma 90.00
_symmetry_space_group_name_H-M 'F m -3 m'
_symmetry_Int_Tables_number 225
_symmetry_space_group_name_Hall '-F 4 2 3'
loop_
_atom_site_label
_atom_site_type_symbol
_atom_site_fract_x
_atom_site_fract_y
_atom_site_fract_z
Zn1 Zn 0.0000 0.0000 0.0000
Au1 Au 0.2500 0.2500 0.2500
O1 O 0.0000 0.0000 0.5000
```

Largest 8 diffraction maxima, in order of rising 2θ, 10° ≤ 2θ ≤ 80°:
Position (°2θ)  d_spacing  I (rel.)
25.10  3.549  31
29.06  3.073  518
41.56  2.173  1000
49.17  1.853  16
51.51  1.774  151
60.23  1.537  166
68.24  1.374  203
75.83  1.255  340

Entry 9:
Structure and simulated powder diffraction line list of Pr2Dy4HoTm2 (a cell relaxed with GGA-PBE; Cu Ka).

Structural model:
```
data_Pr2Dy4HoTm2
_cell_length_a 5.9961
_cell_length_b 6.6015
_cell_length_c 8.5687
_cell_angle_alpha 79.94
_cell_angle_beta 70.54
_cell_angle_gamma 65.56
_symmetry_space_group_name_H-M 'P -1'
_symmetry_Int_Tables_number 2
_symmetry_space_group_name_Hall '-P 1'
loop_
_atom_site_label
_atom_site_type_symbol
_atom_site_fract_x
_atom_site_fract_y
_atom_site_fract_z
Pr1 Pr 0.2303 0.3237 0.3419
Dy1 Dy 0.1142 0.1255 0.7639
Dy2 Dy 0.2429 0.5726 0.8852
Ho1 Ho 0.5000 0.0000 0.0000
Tm1 Tm 0.3241 0.7689 0.4449
```

Largest 8 diffraction maxima, in order of rising 2θ, 10° ≤ 2θ ≤ 80°:
Position (°2θ)  d_spacing  I (rel.)
29.83  2.995  418
31.34  2.854  581
31.75  2.818  1000
32.46  2.759  933
42.72  2.117  157
48.19  1.888  167
55.59  1.653  214
56.94  1.617  183

Entry 10:
Structure and simulated powder diffraction line list of CaLuCo (a cell relaxed with GGA-PBE; Cu Ka).

Structural model:
```
data_CaLuCo
_cell_length_a 3.3482
_cell_length_b 3.3482
_cell_length_c 12.7217
_cell_angle_alpha 90.00
_cell_angle_beta 90.00
_cell_angle_gamma 90.00
_symmetry_space_group_name_H-M 'I 4 m m'
_symmetry_Int_Tables_number 107
_symmetry_space_group_name_Hall 'I 4 -2'
loop_
_atom_site_label
_atom_site_type_symbol
_atom_site_fract_x
_atom_site_fract_y
_atom_site_fract_z
Ca1 Ca 0.0000 0.0000 0.0000
Lu1 Lu 0.0000 0.0000 0.2551
Co1 Co 0.0000 0.0000 0.6475
```

Largest 8 diffraction maxima, in order of rising 2θ, 10° ≤ 2θ ≤ 80°:
Position (°2θ)  d_spacing  I (rel.)
13.92  6.361  979
27.55  3.238  506
34.12  2.628  1000
38.01  2.368  556
40.66  2.219  293
44.74  2.026  496
66.19  1.412  282
73.37  1.290  223

Entry 11:
Structure and simulated powder diffraction line list of Sc5Ru3 (a cell relaxed with GGA-PBE; Cu Ka).

Structural model:
```
data_Sc5Ru3
_cell_length_a 3.2449
_cell_length_b 3.2449
_cell_length_c 14.4530
_cell_angle_alpha 90.00
_cell_angle_beta 90.00
_cell_angle_gamma 90.00
_symmetry_space_group_name_H-M 'P 4/m m m'
_symmetry_Int_Tables_number 123
_symmetry_space_group_name_Hall '-P 4 2'
loop_
_atom_site_label
_atom_site_type_symbol
_atom_site_fract_x
_atom_site_fract_y
_atom_site_fract_z
Sc1 Sc 0.0000 0.0000 0.0000
Sc2 Sc 0.0000 0.0000 0.2140
Sc3 Sc 0.5000 0.5000 0.3942
Ru1 Ru 0.0000 0.0000 0.5000
Ru2 Ru 0.5000 0.5000 0.1156
```

Largest 8 diffraction maxima, in order of rising 2θ, 10° ≤ 2θ ≤ 80°:
Position (°2θ)  d_spacing  I (rel.)
12.25  7.226  207
18.42  4.818  250
28.19  3.166  133
37.24  2.414  1000
39.27  2.294  522
46.97  1.934  158
56.74  1.622  168
69.85  1.347  288

Entry 12:
Structure and simulated powder diffraction line list of Tb3TlHSe (a cell relaxed with GGA-PBE; Cu Ka).

Structural model:
```
data_Tb3TlHSe
_cell_length_a 8.4005
_cell_length_b 4.1005
_cell_length_c 8.6926
_cell_angle_alpha 90.00
_cell_angle_beta 100.16
_cell_angle_gamma 90.00
_symmetry_space_group_name_H-M 'P 1 21/m 1'
_symmetry_Int_Tables_number 11
_symmetry_space_group_name_Hall '-P 2yb'
loop_
_atom_site_label
_atom_site_type_symbol
_atom_site_fract_x
_atom_site_fract_y
_atom_site_fract_z
Tb1 Tb 0.0785 0.2500 0.3144
Tb2 Tb 0.3258 0.2500 0.9691
Tb3 Tb 0.3865 0.7500 0.6289
Tl1 Tl 0.3368 0.7500 0.2513
H1 H 0.4138 0.7500 0.9007
Se1 Se 0.1512 0.2500 0.6512
```

Largest 8 diffraction maxima, in order of rising 2θ, 10° ≤ 2θ ≤ 80°:
Position (°2θ)  d_spacing  I (rel.)
27.17  3.282  381
30.71  2.911  573
31.20  2.867  1000
31.35  2.853  549
35.05  2.560  450
38.41  2.343  290
39.55  2.279  417
44.17  2.050  354

Entry 13:
Structure and simulated powder diffraction line list of Ce2GeAu3 (a cell relaxed with GGA-PBE; Cu Ka).

Structural model:
```
data_Ce2GeAu3
_cell_length_a 7.1828
_cell_length_b 9.3331
_cell_length_c 16.1937
_cell_angle_alpha 90.00
_cell_angle_beta 90.00
_cell_angle_gamma 90.00
_symmetry_space_group_name_H-M 'F m m m'
_symmetry_Int_Tables_number 69
_symmetry_space_group_name_Hall '-F 2 2'
loop_
_atom_site_label
_atom_site_type_symbol
_atom_site_fract_x
_atom_site_fract_y
_atom_site_fract_z
Ce1 Ce 0.2333 0.0000 0.0000
Ce2 Ce 0.2500 0.2500 0.2500
Ge1 Ge 0.0000 0.0000 0.3343
Au1 Au 0.0000 0.0000 0.1713
Au2 Au 0.0000 0.2412 0.4145
```

Largest 8 diffraction maxima, in order of rising 2θ, 10° ≤ 2θ ≤ 80°:
Position (°2θ)  d_spacing  I (rel.)
24.79  3.591  145
33.36  2.686  1000
38.55  2.335  808
46.38  1.958  165
50.85  1.796  121
51.90  1.762  189
65.57  1.424  230
66.47  1.407  268

Entry 14:
Structure and simulated powder diffraction line list of PrDyYAl (a cell relaxed with GGA-PBE; Cu Ka).

Structural model:
```
data_PrDyYAl
_cell_length_a 3.5550
_cell_length_b 3.5550
_cell_length_c 9.1342
_cell_angle_alpha 90.00
_cell_angle_beta 90.00
_cell_angle_gamma 90.00
_symmetry_space_group_name_H-M 'P 4 m m'
_symmetry_Int_Tables_number 99
_symmetry_space_group_name_Hall 'P 4 -2'
loop_
_atom_site_label
_atom_site_type_symbol
_atom_site_fract_x
_atom_site_fract_y
_atom_site_fract_z
Pr1 Pr 0.0000 0.0000 0.0000
Dy1 Dy 0.5000 0.5000 0.2906
Y1 Y 0.5000 0.5000 0.7053
Al1 Al 0.0000 0.0000 0.4977
```

Largest 8 diffraction maxima, in order of rising 2θ, 10° ≤ 2θ ≤ 80°:
Position (°2θ)  d_spacing  I (rel.)
26.91  3.313  381
29.33  3.045  185
31.90  2.805  1000
35.72  2.514  434
46.87  1.938  204
51.41  1.777  153
56.65  1.625  167
61.79  1.501  297